No. 1
This entry pairs a crystal structure of CaSbO3 with its computed X-ray powder pattern. Radiation: Cu Kα X-rays. Structure: the GGA-PBE geometry in the Materials Project.
Peak positions follow from Bragg's law for the DFT cell and can differ from measured ones.

Top 10 peaks for 2θ = 10–90°, by angle:
2theta  d_spacing  I_rel
21.59  4.117  45
21.79  4.078  21
30.17  2.962  25
30.86  2.897  100
31.25  2.862  22
43.89  2.063  12
44.09  2.054  13
44.43  2.039  14
55.32  1.661  25
55.44  1.657  12

Atomic structure:
Cell lengths 5.724, 8.156, 5.925 Å; angles 90.00, 90.25, 90.00 degrees
Sites, in units of the cell vectors:
Ca (0.005, 0.250, 0.051)
Ca (0.485, 0.250, 0.558)
Ca (0.515, 0.750, 0.442)
Ca (0.995, 0.750, 0.949)
Sb (0.000, 0.000, 0.500)
Sb (0.000, 0.500, 0.500)
Sb (0.500, 0.000, 0.000)
Sb (0.500, 0.500, 0.000)
O (0.116, 0.750, 0.550)
O (0.171, 0.057, 0.787)
O (0.171, 0.443, 0.787)
O (0.288, 0.058, 0.323)
O (0.288, 0.442, 0.323)
O (0.380, 0.750, 0.055)
O (0.620, 0.250, 0.945)
O (0.712, 0.558, 0.677)
O (0.712, 0.942, 0.677)
O (0.829, 0.557, 0.213)
O (0.829, 0.943, 0.213)
O (0.884, 0.250, 0.450)



No. 2
This entry pairs a crystal structure of CaSb4O8 with its computed X-ray powder pattern. Radiation: Cu Kα X-rays. Structure: the GGA-PBE geometry in the Materials Project.
Peak positions follow from Bragg's law for the DFT cell and can differ from measured ones.

Top 10 peaks for 2θ = 10–90°, by angle:
2theta  d_spacing  I_rel
15.81  5.604  100
30.50  2.931  46
31.91  2.805  47
37.01  2.429  60
40.47  2.229  16
48.72  1.869  21
53.33  1.718  37
55.97  1.643  20
63.51  1.465  24
69.06  1.360  10

Atomic structure:
Cell lengths 6.867, 6.867, 6.867 Å; angles 60.07, 60.07, 60.07 degrees
Sites, in units of the cell vectors:
Ca (0.000, 0.000, 0.000)
Sb (0.000, 0.000, 0.500)
Sb (0.000, 0.500, 0.000)
Sb (0.500, 0.000, 0.000)
Sb (0.500, 0.500, 0.500)
O (0.211, 0.747, 0.747)
O (0.225, 0.225, 0.225)
O (0.253, 0.253, 0.789)
O (0.253, 0.789, 0.253)
O (0.747, 0.211, 0.747)
O (0.747, 0.747, 0.211)
O (0.775, 0.775, 0.775)
O (0.789, 0.253, 0.253)



No. 3
This entry pairs a crystal structure of CaSb4O9 with its computed X-ray powder pattern. Radiation: Cu Kα X-rays. Structure: the GGA-PBE geometry in the Materials Project.
Peak positions follow from Bragg's law for the DFT cell and can differ from measured ones.

Top 10 peaks for 2θ = 10–90°, by angle:
2theta  d_spacing  I_rel
16.27  5.447  51
17.42  5.091  64
18.35  4.836  90
19.98  4.444  39
25.17  3.539  88
26.66  3.344  100
26.93  3.310  79
29.36  3.043  55
32.54  2.751  54
32.77  2.733  35

Atomic structure:
Cell lengths 5.517, 8.934, 9.832 Å; angles 95.46, 98.51, 92.53 degrees
Sites, in units of the cell vectors:
Ca (0.192, 0.265, 0.231)
Ca (0.808, 0.735, 0.769)
Sb (0.241, 0.423, 0.563)
Sb (0.280, 0.809, 0.504)
Sb (0.330, 0.024, 0.847)
Sb (0.389, 0.653, 0.026)
Sb (0.611, 0.347, 0.974)
Sb (0.670, 0.976, 0.153)
Sb (0.720, 0.191, 0.496)
Sb (0.759, 0.577, 0.437)
O (0.005, 0.017, 0.164)
O (0.043, 0.225, 0.438)
O (0.061, 0.672, 0.965)
O (0.106, 0.518, 0.388)
O (0.433, 0.232, 0.806)
O (0.434, 0.454, 0.112)
O (0.444, 0.939, 0.681)
O (0.464, 0.647, 0.595)
O (0.473, 0.136, 0.047)
O (0.527, 0.864, 0.953)
O (0.536, 0.353, 0.405)
O (0.556, 0.061, 0.319)
O (0.566, 0.546, 0.888)
O (0.567, 0.768, 0.194)
O (0.894, 0.482, 0.612)
O (0.939, 0.328, 0.035)
O (0.957, 0.775, 0.562)
O (0.995, 0.983, 0.836)



No. 4
This entry pairs a crystal structure of CaSb2O4 with its computed X-ray powder pattern. Radiation: Cu Kα X-rays. Structure: the GGA-PBE geometry in the Materials Project.
Peak positions follow from Bragg's law for the DFT cell and can differ from measured ones.

Top 10 peaks for 2θ = 10–90°, by angle:
2theta  d_spacing  I_rel
16.40  5.405  24
17.88  4.960  21
24.45  3.640  26
25.74  3.461  20
29.52  3.026  100
30.46  2.935  23
32.07  2.791  30
34.46  2.602  24
35.98  2.496  19
55.59  1.653  20

Atomic structure:
Cell lengths 3.640, 11.164, 10.810 Å; angles 90.00, 90.00, 90.00 degrees
Sites, in units of the cell vectors:
Ca (0.108, 0.136, 0.250)
Ca (0.108, 0.364, 0.750)
Ca (0.892, 0.636, 0.250)
Ca (0.892, 0.864, 0.750)
Sb (0.345, 0.620, 0.578)
Sb (0.345, 0.620, 0.922)
Sb (0.345, 0.880, 0.078)
Sb (0.345, 0.880, 0.422)
Sb (0.655, 0.120, 0.578)
Sb (0.655, 0.120, 0.922)
Sb (0.655, 0.380, 0.078)
Sb (0.655, 0.380, 0.422)
O (0.318, 0.250, 0.000)
O (0.318, 0.250, 0.500)
O (0.404, 0.540, 0.117)
O (0.404, 0.540, 0.383)
O (0.404, 0.960, 0.617)
O (0.404, 0.960, 0.883)
O (0.495, 0.702, 0.750)
O (0.495, 0.798, 0.250)
O (0.505, 0.202, 0.750)
O (0.505, 0.298, 0.250)
O (0.596, 0.040, 0.117)
O (0.596, 0.040, 0.383)
O (0.596, 0.460, 0.617)
O (0.596, 0.460, 0.883)
O (0.682, 0.750, 0.000)
O (0.682, 0.750, 0.500)



No. 5
This entry pairs a crystal structure of CaSb2O4 with its computed X-ray powder pattern. Radiation: Cu Kα X-rays. Structure: the GGA-PBE geometry in the Materials Project.
Peak positions follow from Bragg's law for the DFT cell and can differ from measured ones.

Top 10 peaks for 2θ = 10–90°, by angle:
2theta  d_spacing  I_rel
15.79  5.611  26
27.91  3.197  27
28.70  3.111  100
31.96  2.801  27
36.11  2.488  26
37.00  2.429  47
39.63  2.274  30
49.65  1.836  24
55.00  1.669  32
55.14  1.666  27

Atomic structure:
Cell lengths 5.844, 5.844, 11.223 Å; angles 90.00, 90.00, 146.83 degrees
Sites, in units of the cell vectors:
Ca (0.114, 0.886, 0.750)
Ca (0.886, 0.114, 0.250)
Sb (0.368, 0.632, 0.578)
Sb (0.368, 0.632, 0.922)
Sb (0.632, 0.368, 0.078)
Sb (0.632, 0.368, 0.422)
O (0.000, 0.000, 0.000)
O (0.000, 0.000, 0.500)
O (0.271, 0.729, 0.122)
O (0.271, 0.729, 0.378)
O (0.462, 0.538, 0.750)
O (0.538, 0.462, 0.250)
O (0.729, 0.271, 0.622)
O (0.729, 0.271, 0.878)



No. 6
This entry pairs a crystal structure of CaSb4O8 with its computed X-ray powder pattern. Radiation: Cu Kα X-rays. Structure: the GGA-PBE geometry in the Materials Project.
Peak positions follow from Bragg's law for the DFT cell and can differ from measured ones.

Top 10 peaks for 2θ = 10–90°, by angle:
2theta  d_spacing  I_rel
11.40  7.760  47
18.48  4.802  46
22.29  3.989  42
27.08  3.293  64
28.67  3.113  51
32.15  2.784  100
34.06  2.632  38
47.65  1.909  29
51.13  1.787  36
59.44  1.555  26

Atomic structure:
Cell lengths 8.298, 8.298, 9.604 Å; angles 125.17, 125.17, 22.54 degrees
Sites, in units of the cell vectors:
Ca (0.000, 0.000, 0.000)
Sb (0.055, 0.055, 0.391)
Sb (0.294, 0.294, 0.200)
Sb (0.576, 0.576, 0.768)
Sb (0.815, 0.815, 0.597)
O (0.165, 0.165, 0.820)
O (0.306, 0.306, 0.419)
O (0.374, 0.374, 0.780)
O (0.515, 0.515, 0.207)
O (0.533, 0.533, 0.526)
O (0.605, 0.605, 0.997)
O (0.893, 0.893, 0.260)
O (0.972, 0.972, 0.699)



No. 7
This entry pairs a crystal structure of CaSb2O4 with its computed X-ray powder pattern. Radiation: Cu Kα X-rays. Structure: the GGA-PBE geometry in the Materials Project.
Peak positions follow from Bragg's law for the DFT cell and can differ from measured ones.

Top 10 peaks for 2θ = 10–90°, by angle:
2theta  d_spacing  I_rel
15.41  5.750  46
25.53  3.490  51
29.95  2.983  43
30.35  2.945  86
30.55  2.926  100
31.87  2.808  37
36.75  2.446  44
47.97  1.896  32
52.44  1.745  51
53.45  1.714  48

Atomic structure:
Cell lengths 6.982, 6.982, 6.982 Å; angles 58.83, 58.83, 58.83 degrees
Sites, in units of the cell vectors:
Ca (0.000, 0.000, 0.000)
Ca (0.379, 0.379, 0.379)
Sb (0.377, 0.377, 0.885)
Sb (0.377, 0.885, 0.377)
Sb (0.753, 0.753, 0.753)
Sb (0.885, 0.377, 0.377)
O (0.133, 0.625, 0.625)
O (0.136, 0.136, 0.581)
O (0.136, 0.581, 0.136)
O (0.141, 0.141, 0.141)
O (0.581, 0.136, 0.136)
O (0.625, 0.133, 0.625)
O (0.625, 0.625, 0.133)
O (0.627, 0.627, 0.627)



No. 8
This entry pairs a crystal structure of CaSb2O6 with its computed X-ray powder pattern. Radiation: Cu Kα X-rays. Structure: the GGA-PBE geometry in the Materials Project.
Peak positions follow from Bragg's law for the DFT cell and can differ from measured ones.

Top 10 peaks for 2θ = 10–90°, by angle:
2theta  d_spacing  I_rel
22.88  3.886  100
32.23  2.778  17
32.58  2.749  65
32.96  2.717  15
46.75  1.943  31
52.65  1.738  28
57.69  1.598  12
58.62  1.575  16
68.25  1.374  11
77.68  1.229  10

Atomic structure:
Cell lengths 7.778, 5.555, 5.435 Å; angles 90.00, 90.00, 90.00 degrees
Sites, in units of the cell vectors:
Ca (0.000, 0.191, 0.000)
Ca (0.500, 0.809, 0.500)
Sb (0.250, 0.258, 0.488)
Sb (0.250, 0.742, 0.988)
Sb (0.750, 0.258, 0.488)
Sb (0.750, 0.742, 0.988)
O (0.000, 0.269, 0.580)
O (0.000, 0.775, 0.906)
O (0.202, 0.447, 0.182)
O (0.210, 0.961, 0.279)
O (0.290, 0.039, 0.779)
O (0.298, 0.553, 0.682)
O (0.500, 0.225, 0.406)
O (0.500, 0.731, 0.080)
O (0.702, 0.553, 0.682)
O (0.710, 0.039, 0.779)
O (0.790, 0.961, 0.279)
O (0.798, 0.447, 0.182)



No. 9
This entry pairs a crystal structure of CaSb2O4 with its computed X-ray powder pattern. Radiation: Cu Kα X-rays. Structure: the GGA-PBE geometry in the Materials Project.
Peak positions follow from Bragg's law for the DFT cell and can differ from measured ones.

Top 10 peaks for 2θ = 10–90°, by angle:
2theta  d_spacing  I_rel
18.94  4.685  22
23.89  3.725  48
26.35  3.382  52
29.26  3.053  40
31.05  2.880  40
31.61  2.830  100
31.81  2.813  26
47.13  1.928  40
47.96  1.897  23
54.25  1.691  52

Atomic structure:
Cell lengths 6.805, 6.805, 6.805 Å; angles 123.18, 113.62, 92.98 degrees
Sites, in units of the cell vectors:
Ca (0.000, 0.000, 0.000)
Ca (0.500, 0.000, 0.500)
Sb (0.000, 0.000, 0.500)
Sb (0.000, 0.500, 0.000)
Sb (0.392, 0.642, 0.750)
Sb (0.608, 0.358, 0.250)
O (0.219, 0.250, 0.969)
O (0.219, 0.750, 0.469)
O (0.252, 0.254, 0.502)
O (0.252, 0.750, 0.998)
O (0.748, 0.250, 0.002)
O (0.748, 0.746, 0.498)
O (0.781, 0.250, 0.531)
O (0.781, 0.750, 0.031)



No. 10
This entry pairs a crystal structure of CaSb2O4 with its computed X-ray powder pattern. Radiation: Cu Kα X-rays. Structure: the GGA-PBE geometry in the Materials Project.
Peak positions follow from Bragg's law for the DFT cell and can differ from measured ones.

Top 10 peaks for 2θ = 10–90°, by angle:
2theta  d_spacing  I_rel
14.59  6.069  100
29.43  3.035  13
29.94  2.984  33
30.29  2.951  45
31.00  2.884  23
33.77  2.654  68
34.43  2.605  29
42.74  2.116  34
43.28  2.091  19
54.71  1.678  19

Atomic structure:
Cell lengths 6.869, 12.138, 5.769 Å; angles 90.00, 90.00, 90.00 degrees
Sites, in units of the cell vectors:
Ca (0.250, 0.250, 0.041)
Ca (0.250, 0.750, 0.369)
Ca (0.750, 0.250, 0.631)
Ca (0.750, 0.750, 0.959)
Sb (0.000, 0.000, 0.500)
Sb (0.000, 0.500, 0.500)
Sb (0.250, 0.542, 0.998)
Sb (0.250, 0.958, 0.998)
Sb (0.500, 0.000, 0.500)
Sb (0.500, 0.500, 0.500)
Sb (0.750, 0.042, 0.002)
Sb (0.750, 0.458, 0.002)
O (0.039, 0.627, 0.168)
O (0.039, 0.873, 0.168)
O (0.250, 0.095, 0.322)
O (0.250, 0.405, 0.322)
O (0.250, 0.617, 0.657)
O (0.250, 0.883, 0.657)
O (0.461, 0.627, 0.168)
O (0.461, 0.873, 0.168)
O (0.539, 0.127, 0.832)
O (0.539, 0.373, 0.832)
O (0.750, 0.117, 0.343)
O (0.750, 0.383, 0.343)
O (0.750, 0.595, 0.678)
O (0.750, 0.905, 0.678)
O (0.961, 0.127, 0.832)
O (0.961, 0.373, 0.832)



No. 11
This entry pairs a crystal structure of CaSbO3 with its computed X-ray powder pattern. Radiation: Cu Kα X-rays. Structure: the GGA-PBE geometry in the Materials Project.
Peak positions follow from Bragg's law for the DFT cell and can differ from measured ones.

Top 10 peaks for 2θ = 10–90°, by angle:
2theta  d_spacing  I_rel
21.73  4.090  67
30.30  2.950  25
30.94  2.890  100
31.49  2.841  22
44.26  2.046  26
44.38  2.041  14
49.88  1.828  23
54.23  1.692  19
55.72  1.650  25
64.47  1.445  13

Atomic structure:
Cell lengths 5.900, 8.165, 5.682 Å; angles 90.00, 90.00, 90.00 degrees
Sites, in units of the cell vectors:
Ca (0.055, 0.250, 0.012)
Ca (0.445, 0.750, 0.512)
Ca (0.555, 0.250, 0.488)
Ca (0.945, 0.750, 0.988)
Sb (0.000, 0.000, 0.500)
Sb (0.000, 0.500, 0.500)
Sb (0.500, 0.000, 0.000)
Sb (0.500, 0.500, 0.000)
O (0.048, 0.750, 0.389)
O (0.197, 0.558, 0.807)
O (0.197, 0.942, 0.807)
O (0.303, 0.058, 0.307)
O (0.303, 0.442, 0.307)
O (0.452, 0.250, 0.889)
O (0.548, 0.750, 0.111)
O (0.697, 0.558, 0.693)
O (0.697, 0.942, 0.693)
O (0.803, 0.058, 0.193)
O (0.803, 0.442, 0.193)
O (0.952, 0.250, 0.611)